Simulated X-ray diffraction stick pattern
Compound: Ac3Sc2Pb4
Radiation: Cu Kα
Structure: the GGA-PBE geometry in Alexandria
Lines closer than 0.1° are merged.

The 8 most intense peaks (2θ = 10–80°), by intensity:
| index | Position (°2θ) | I_rel |
| --- | --- | --- |
| 3 1 -1 | 27.09 | 100.0 |
| 1 1 2 | 29.45 | 62.9 |
| 3 1 0 | 28.33 | 47.8 |
| 3 1 -3 | 34.29 | 39.7 |
| 0 2 0 | 36.47 | 35.8 |
| 5 1 -6 | 60.71 | 30.5 |
| 0 0 3 | 29.14 | 22.0 |
| 6 0 -1 | 41.31 | 20.7 |

Atomic structure:
Cell: 13.3025 4.9276 9.9513 Å, 90.00 112.52 90.00°
Space group C2/m (No. 12)
Unique sites:
Ac  0.0000  0.0000  0.0000 x2
Ac  0.1237  0.5000  0.6983 x4
Sc  0.1889  0.5000  0.3632 x4
Pb  0.0836  0.0000  0.3984 x4
Pb  0.2024  0.5000  0.0732 x4